# 1
Structure and calculated X-ray diffraction stick pattern of Ce3Al11 (a crystal structure in the Materials Project, relaxed with PBE; Cu Ka).
Neutral-atom scattering factors, no anomalous dispersion.

Top 8 peaks for 2θ from 10° to 90°, most intense first:
d_spacing, Position (°2θ), I (rel.), hkl
2.613, 34.32, 100.0, 1 2 3
3.992, 22.27, 45.5, 1 1 0
3.962, 22.44, 43.8, 0 1 3
2.646, 33.88, 39.2, 1 3 0
3.066, 29.13, 38.0, 1 0 3
2.637, 33.99, 33.6, 0 3 3
4.997, 17.75, 31.6, 0 2 0
2.177, 41.47, 23.9, 2 0 0

Crystal structure
Unit cell a=4.355 b=9.995 c=12.948 alpha=90.00 beta=90.00 gamma=90.00
Space group Immm (No. 71)
Symmetry-distinct sites (fractional):
Ce 0.000 0.000 0.000
Ce 0.000 0.000 0.317
Al 0.000 0.214 0.500
Al 0.000 0.274 0.137
Al 0.000 0.370 0.334
Al 0.000 0.500 0.000

# 2
Structure and calculated X-ray diffraction stick pattern of CeAl4 (a crystal structure in the Materials Project, relaxed with PBE; Cu Ka).
Neutral-atom scattering factors, no anomalous dispersion.

Top 8 peaks for 2θ from 10° to 90°, most intense first:
d_spacing, Position (°2θ), I (rel.), hkl
2.650, 33.83, 100.0, 1 1 2
2.823, 31.70, 79.5, 1 0 3
3.970, 22.40, 63.9, 1 0 1
2.118, 42.68, 38.5, 2 0 0
2.002, 45.30, 38.5, 1 0 5
1.694, 54.13, 34.6, 2 1 3
5.678, 15.61, 33.5, 0 0 2
2.996, 29.82, 32.8, 1 1 0

Crystal structure
Unit cell a=4.237 b=4.237 c=11.356 alpha=90.00 beta=90.00 gamma=90.00
Space group I4/mmm (No. 139)
Symmetry-distinct sites (fractional):
Ce 0.000 0.000 0.000
Al 0.000 0.000 0.389
Al 0.000 0.500 0.250

# 3
Structure and calculated X-ray diffraction stick pattern of CeAl4 (a crystal structure in the Materials Project, relaxed with PBE; Cu Ka).
Neutral-atom scattering factors, no anomalous dispersion.

Top 8 peaks for 2θ from 10° to 90°, most intense first:
d_spacing, Position (°2θ), I (rel.), hkl
2.663, 33.66, 100.0, 1 3 2
2.841, 31.49, 53.2, 1 0 3
2.823, 31.70, 40.3, 0 3 3
5.682, 15.60, 33.1, 0 0 2
4.017, 22.13, 33.1, 1 0 1
3.015, 29.63, 32.9, 1 3 0
3.966, 22.41, 31.0, 0 3 1
2.009, 45.13, 24.8, 1 0 5

Crystal structure
Unit cell a=4.294 b=12.698 c=11.364 alpha=90.00 beta=90.00 gamma=90.00
Space group Imm2 (No. 44)
Symmetry-distinct sites (fractional):
Ce 0.000 0.000 0.000
Ce 0.000 0.333 0.993
Al 0.000 0.000 0.380
Al 0.000 0.000 0.601
Al 0.000 0.163 0.750
Al 0.000 0.171 0.245
Al 0.000 0.330 0.609
Al 0.000 0.337 0.387
Al 0.000 0.500 0.239
Al 0.000 0.500 0.745

# 4
Structure and calculated X-ray diffraction stick pattern of Ce4AlCo25 (a crystal structure in the Materials Project, relaxed with PBE; Cu Ka).
Neutral-atom scattering factors, no anomalous dispersion.

Top 8 peaks for 2θ from 10° to 90°, most intense first:
d_spacing, Position (°2θ), I (rel.), hkl
2.067, 43.80, 100.0, 2 0 1
2.898, 30.86, 40.6, 1 5 1
2.085, 43.39, 33.3, 0 20 0
2.015, 45.00, 31.2, 0 0 2
2.408, 37.35, 27.1, 2 0 0
1.449, 64.29, 19.6, 0 20 2
1.173, 82.18, 14.5, 2 0 3
1.313, 71.88, 13.7, 3 15 1

Crystal structure
Unit cell a=4.810 b=41.753 c=4.029 alpha=90.00 beta=90.00 gamma=90.00
Space group Cmmm (No. 65)
Symmetry-distinct sites (fractional):
Ce 0.000 0.098 0.000
Ce 0.000 0.300 0.000
Al 0.000 0.500 0.000
Co 0.000 0.000 0.500
Co 0.000 0.030 0.000
Co 0.000 0.166 0.000
Co 0.000 0.200 0.500
Co 0.000 0.233 0.000
Co 0.000 0.367 0.000
Co 0.000 0.401 0.500
Co 0.000 0.439 0.000
Co 0.242 0.453 0.500
Co 0.250 0.149 0.500
Co 0.250 0.250 0.500

# 5
Structure and calculated X-ray diffraction stick pattern of CeAlCo (a crystal structure in the Materials Project, relaxed with PBE; Cu Ka).
Neutral-atom scattering factors, no anomalous dispersion.

Top 8 peaks for 2θ from 10° to 90°, most intense first:
d_spacing, Position (°2θ), I (rel.), hkl
2.380, 37.80, 100.0, 3 1 1
2.254, 40.00, 81.7, 2 1 3
2.684, 33.39, 48.5, 0 1 3
2.246, 40.14, 47.2, 1 2 2
3.100, 28.80, 40.1, 2 1 1
8.305, 10.65, 35.1, 1 0 0
2.699, 33.19, 32.3, 0 2 0
2.263, 39.83, 31.9, 2 2 0

Crystal structure
Unit cell a=8.305 b=5.399 c=9.278 alpha=90.00 beta=90.00 gamma=90.00
Space group Amm2 (No. 38)
Symmetry-distinct sites (fractional):
Ce 0.168 0.000 0.000
Ce 0.284 0.000 0.337
Al 0.237 0.000 0.675
Al 0.500 0.247 0.085
Co 0.000 0.000 0.508
Co 0.000 0.248 0.257
Co 0.500 0.000 0.838

# 6
Structure and calculated X-ray diffraction stick pattern of Ce3Al4Co3 (a crystal structure in the Materials Project, relaxed with PBE; Cu Ka).
Neutral-atom scattering factors, no anomalous dispersion.

Top 8 peaks for 2θ from 10° to 90°, most intense first:
d_spacing, Position (°2θ), I (rel.), hkl
2.457, 36.58, 100.0, 8 1 0
2.496, 35.99, 86.8, 7 1 1
3.958, 22.46, 75.2, 2 1 0
2.623, 34.19, 61.2, 2 1 2
2.094, 43.21, 54.7, 0 2 0
2.670, 33.56, 48.4, 1 1 2
3.365, 26.49, 24.0, 2 0 2
2.105, 42.97, 22.7, 11 0 1

Crystal structure
Unit cell a=24.276 b=4.187 c=7.004 alpha=90.00 beta=90.00 gamma=90.00
Space group Pnma (No. 62)
Symmetry-distinct sites (fractional):
Ce 0.038 0.250 0.149
Ce 0.133 0.250 0.527
Ce 0.172 0.250 0.033
Al 0.037 0.750 0.488
Al 0.092 0.750 0.853
Al 0.213 0.750 0.330
Al 0.215 0.750 0.729
Co 0.052 0.250 0.704
Co 0.110 0.750 0.223
Co 0.229 0.250 0.530

# 7
Structure and calculated X-ray diffraction stick pattern of CeAlCo (a crystal structure in the Materials Project, relaxed with PBE; Cu Ka).
Neutral-atom scattering factors, no anomalous dispersion.

Top 8 peaks for 2θ from 10° to 90°, most intense first:
d_spacing, Position (°2θ), I (rel.), hkl
2.774, 32.27, 100.0, 3 1 0
4.093, 21.71, 89.5, 1 1 0
2.629, 34.10, 74.9, 3 1 -1
2.216, 40.71, 51.3, 0 2 0
2.087, 43.36, 49.2, 1 1 -2
2.901, 30.82, 38.9, 1 1 1
2.667, 33.60, 37.0, 4 0 0
2.338, 38.50, 30.3, 2 0 -2

Crystal structure
Unit cell a=11.080 b=4.433 c=4.738 alpha=90.00 beta=105.67 gamma=90.00
Space group C2/m (No. 12)
Symmetry-distinct sites (fractional):
Ce 0.131 0.000 0.329
Al 0.086 0.500 0.813
Co 0.190 0.000 0.849

# 8
Structure and calculated X-ray diffraction stick pattern of CeAl4Co (a crystal structure in the Materials Project, relaxed with PBE; Cu Ka).
Neutral-atom scattering factors, no anomalous dispersion.

Top 8 peaks for 2θ from 10° to 90°, most intense first:
d_spacing, Position (°2θ), I (rel.), hkl
2.467, 36.42, 100.0, 1 1 2
2.569, 34.93, 56.4, 2 1 1
2.773, 32.29, 53.8, 2 1 0
3.807, 23.36, 50.9, 2 0 0
3.113, 28.68, 49.8, 1 0 2
4.045, 21.97, 45.7, 0 1 0
2.023, 44.81, 30.7, 0 2 0
2.179, 41.45, 25.5, 1 0 3

Crystal structure
Unit cell a=7.615 b=4.045 c=6.821 alpha=90.00 beta=90.00 gamma=90.00
Space group Pmma (No. 51)
Symmetry-distinct sites (fractional):
Ce 0.250 0.000 0.116
Al 0.000 0.000 0.500
Al 0.069 0.500 0.802
Al 0.250 0.500 0.455
Co 0.250 0.000 0.694

# 9
Structure and calculated X-ray diffraction stick pattern of CeAl8Cr4 (a crystal structure in the Materials Project, relaxed with PBE; Cu Ka).
Neutral-atom scattering factors, no anomalous dispersion.

Top 8 peaks for 2θ from 10° to 90°, most intense first:
d_spacing, Position (°2θ), I (rel.), hkl
2.194, 41.14, 100.0, 2 0 2
2.238, 40.30, 86.6, 3 2 1
2.253, 40.02, 78.3, 4 0 0
3.144, 28.39, 61.9, 2 1 1
2.578, 34.80, 50.7, 3 0 1
6.372, 13.90, 43.2, 1 1 0
3.186, 28.00, 42.0, 2 2 0
4.388, 20.24, 40.8, 1 0 1

Crystal structure
Unit cell a=9.012 b=9.012 c=5.024 alpha=90.00 beta=90.00 gamma=90.00
Space group I4/mmm (No. 139)
Symmetry-distinct sites (fractional):
Ce 0.000 0.000 0.000
Al 0.000 0.224 0.500
Al 0.000 0.343 0.000
Cr 0.250 0.250 0.250

# 10
Structure and calculated X-ray diffraction stick pattern of Ce3AlCrS7 (a crystal structure in the Materials Project, relaxed with PBE; Cu Ka).
Neutral-atom scattering factors, no anomalous dispersion.

Top 8 peaks for 2θ from 10° to 90°, most intense first:
d_spacing, Position (°2θ), I (rel.), hkl
3.529, 25.24, 100.0, 2 0 1
2.478, 36.25, 46.9, 2 0 2
2.241, 40.24, 44.3, 3 1 1
4.956, 17.90, 42.6, 1 0 1
2.614, 34.30, 39.0, 3 0 1
2.513, 35.73, 37.8, 2 2 0
3.290, 27.10, 37.0, 1 2 0
2.223, 40.59, 32.6, 1 2 2

Crystal structure
Unit cell a=10.0508 b=10.0508 c=6.0287 alpha=90.00 beta=90.00 gamma=120.00
Space group P6_3 (No. 173)
Symmetry-distinct sites (fractional):
Ce 0.1409 0.3712 0.0000
Al 0.3333 0.6667 0.4214
Cr 0.0000 0.0000 0.2835
S 0.0894 0.2319 0.5399
S 0.0956 0.5792 0.2728
S 0.3333 0.6667 0.7918

# 11
Structure and calculated X-ray diffraction stick pattern of CeAl2Cu3 (a crystal structure in the Materials Project, relaxed with PBE; Cu Ka).
Neutral-atom scattering factors, no anomalous dispersion.

Top 8 peaks for 2θ from 10° to 90°, most intense first:
d_spacing, Position (°2θ), I (rel.), hkl
3.032, 29.46, 100.0, 1 0 1
2.218, 40.67, 86.9, 1 1 1
2.301, 39.15, 72.2, 2 0 0
1.516, 61.13, 36.8, 2 0 2
1.597, 57.73, 29.1, 2 1 1
2.015, 44.98, 25.1, 0 0 2
1.434, 65.06, 20.9, 3 0 1
1.109, 88.06, 20.4, 2 2 2

Crystal structure
Unit cell a=5.3139 b=5.3139 c=4.0309 alpha=90.00 beta=90.00 gamma=120.00
Space group P6/mmm (No. 191)
Symmetry-distinct sites (fractional):
Ce 0.0000 0.0000 0.0000
Al 0.3333 0.6667 0.0000
Cu 0.0000 0.5000 0.5000

# 12
Structure and calculated X-ray diffraction stick pattern of CeAl8Cu4 (a crystal structure in the Materials Project, relaxed with PBE; Cu Ka).
Neutral-atom scattering factors, no anomalous dispersion.

Top 8 peaks for 2θ from 10° to 90°, most intense first:
d_spacing, Position (°2θ), I (rel.), hkl
2.220, 40.63, 100.0, 4 0 0
3.140, 28.43, 40.6, 2 2 0
1.570, 58.82, 26.6, 4 4 0
1.110, 87.97, 19.4, 8 0 0
1.282, 73.94, 19.4, 0 0 4
4.441, 19.99, 18.5, 2 0 0
1.986, 45.68, 17.6, 2 2 2
2.564, 35.00, 16.1, 3 0 1

Crystal structure
Unit cell a=8.879 b=8.879 c=5.129 alpha=90.00 beta=90.00 gamma=90.00
Space group I4/mmm (No. 139)
Symmetry-distinct sites (fractional):
Ce 0.000 0.000 0.000
Al 0.000 0.220 0.500
Al 0.000 0.348 0.000
Cu 0.250 0.250 0.250

- Number 3 is which compound?
  CeAl4